Record 1
This entry pairs a crystal structure of Li4In3Bi with its computed X-ray diffraction stick pattern. Radiation: CuKα. Structure: DFT lattice parameters and positions (PBE).
Peak positions follow from Bragg's law for the DFT cell and can differ from measured ones.

Structure:
Cell lengths 9.661, 7.184, 4.831 Å; angles 90.00, 90.00, 90.00 degrees
Fractional coordinates of all 16 atoms:
Li1 0.000 0.245 0.000
Li2 0.000 0.755 0.000
Li3 0.250 0.244 0.497
Li4 0.250 0.756 0.497
Li5 0.500 0.245 0.000
Li6 0.500 0.755 0.000
Li7 0.750 0.244 0.503
Li8 0.750 0.756 0.503
In1 0.000 0.000 0.500
In2 0.250 0.000 0.997
In3 0.250 0.500 0.998
In4 0.500 0.000 0.500
In5 0.750 0.000 0.003
In6 0.750 0.500 0.002
Bi1 0.000 0.500 0.500
Bi2 0.500 0.500 0.500

Peak list (6 most intense, 5° ≤ 2θ ≤ 70°, by intensity)
2θ = 26.09°, I 100.0; 2θ = 36.29°, I 98.4; 2θ = 24.79°, I 56.7; 2θ = 37.22°, I 45.9; 2θ = 45.24°, I 45.5; 2θ = 66.51°, I 33.0

Record 2
This entry pairs a crystal structure of Li3In2Bi2 with its computed X-ray diffraction stick pattern. Radiation: CuKα. Structure: DFT lattice parameters and positions (PBE).
Peak positions follow from Bragg's law for the DFT cell and can differ from measured ones.

Structure:
Cell lengths 7.617, 7.617, 7.617 Å; angles 109.47, 109.47, 109.47 degrees
Fractional coordinates of all 14 atoms:
Li1 0.221 0.971 0.250
Li2 0.250 0.221 0.971
Li3 0.279 0.529 0.750
Li4 0.529 0.750 0.279
Li5 0.750 0.279 0.529
Li6 0.971 0.250 0.221
In1 0.000 0.651 0.500
In2 0.500 0.000 0.651
In3 0.651 0.500 0.000
In4 0.849 0.849 0.849
Bi1 0.000 0.050 0.500
Bi2 0.050 0.500 0.000
Bi3 0.450 0.450 0.450
Bi4 0.500 0.000 0.050

Peak list (6 most intense, 5° ≤ 2θ ≤ 70°, by intensity)
2θ = 28.71°, I 100.0; 2θ = 32.18°, I 41.7; 2θ = 46.16°, I 35.7; 2θ = 20.19°, I 35.4; 2θ = 24.80°, I 30.3; 2θ = 53.09°, I 29.1

Record 3
This entry pairs a crystal structure of Li4In5Bi2 with its computed X-ray diffraction stick pattern. Radiation: CuKα. Structure: DFT lattice parameters and positions (PBE).
Peak positions follow from Bragg's law for the DFT cell and can differ from measured ones.

Structure:
Cell lengths 5.632, 5.632, 11.848 Å; angles 103.43, 103.43, 47.48 degrees
Fractional coordinates of all 11 atoms:
Li1 0.042 0.042 0.330
Li2 0.306 0.306 0.233
Li3 0.694 0.694 0.767
Li4 0.958 0.958 0.670
In1 0.142 0.142 0.947
In2 0.217 0.217 0.584
In3 0.500 0.500 0.500
In4 0.783 0.783 0.416
In5 0.858 0.858 0.053
Bi1 0.413 0.413 0.827
Bi2 0.587 0.587 0.173

Peak list (6 most intense, 5° ≤ 2θ ≤ 70°, by intensity)
2θ = 33.89°, I 100.0; 2θ = 33.59°, I 95.5; 2θ = 38.86°, I 58.6; 2θ = 25.52°, I 47.2; 2θ = 23.66°, I 43.7; 2θ = 56.80°, I 38.2

Record 4
This entry pairs a crystal structure of Li5In2Bi5 with its computed X-ray diffraction stick pattern. Radiation: CuKα. Structure: DFT lattice parameters and positions (PBE).
Peak positions follow from Bragg's law for the DFT cell and can differ from measured ones.

Structure:
Cell lengths 6.736, 6.736, 11.221 Å; angles 108.12, 108.12, 41.63 degrees
Fractional coordinates of all 12 atoms:
Li1 0.000 0.000 0.000
Li2 0.135 0.135 0.806
Li3 0.155 0.155 0.506
Li4 0.845 0.845 0.494
Li5 0.865 0.865 0.194
In1 0.406 0.406 0.724
In2 0.594 0.594 0.276
Bi1 0.248 0.248 0.283
Bi2 0.387 0.387 0.046
Bi3 0.500 0.500 0.500
Bi4 0.613 0.613 0.954
Bi5 0.752 0.752 0.717

Peak list (6 most intense, 5° ≤ 2θ ≤ 70°, by intensity)
2θ = 20.00°, I 100.0; 2θ = 33.55°, I 84.5; 2θ = 32.56°, I 58.2; 2θ = 37.59°, I 46.5; 2θ = 24.70°, I 46.5; 2θ = 26.02°, I 41.1